The following is a simulated powder XRD pattern of MoS. It was derived from a structure optimized by DFT (PBE), using CuKα.
Kinematic intensities with the Lorentz-polarization factor, no thermal factor.

The 10 most intense peaks (2θ from 10° to 90°), by intensity:
| d/Å | intensity | (hkl) |
| --- | --- | --- |
| 2.306 | 100 | 0 2 0 |
| 3.261 | 72 | 1 1 -1 |
| 4.390 | 68 | 0 0 1 |
| 3.846 | 67 | 1 1 0 |
| 3.492 | 62 | 2 0 0 |
| 2.112 | 55 | 1 1 -2 |
| 2.078 | 40 | 3 1 0 |
| 1.922 | 29 | 2 2 0 |
| 1.667 | 28 | 3 1 1 |
| 1.631 | 27 | 2 2 -2 |

Atomic structure:
```
data_MoS
_space_group_name_H-M_alt 'C 1 2/m 1'
_space_group_IT_number 12
_cell_length_a 7.5861
_cell_length_b 4.6072
_cell_length_c 4.7692
_cell_angle_alpha 90.00
_cell_angle_beta 113.00
_cell_angle_gamma 90.00
loop_
_space_group_symop_operation_xyz
'x,y,z'
'-x,-y,-z'
'-x,y,-z'
'x,-y,z'
'x+1/2,y+1/2,z'
'-x+1/2,-y+1/2,-z'
'-x+1/2,y+1/2,-z'
'x+1/2,-y+1/2,z'
loop_
_atom_site_label
_atom_site_fract_x
_atom_site_fract_y
_atom_site_fract_z
Mo1 0.1604 0.0000 0.1234
S1 0.2374 0.5000 0.2952
```